# CrSbAs2
Computed powder diffractogram, Cu Kα (weighted mean of Kα1 and Kα2). Input: a cell relaxed with PBE.
Intensities are scaled so that the largest is 100.

Largest 8 diffraction maxima, by intensity, 15° ≤ 2θ ≤ 90°:
(hkl)	2θ (°)	I (rel.)
1 1 2	38.13	100
0 1 3	31.90	68
1 0 3	33.58	32
1 0 1	26.77	31
1 1 4	45.81	30
0 0 6	43.02	25
0 2 0	48.34	22
2 1 3	63.25	19

Crystal structure
```
data_CrSbAs2
_chemical_formula_sum 'Cr2 Sb2 As4'
_space_group_name_H-M_alt 'I m m 2'
_space_group_IT_number 44
_cell_length_a 3.4528
_cell_length_b 3.7658
_cell_length_c 12.6159
_cell_angle_alpha 90.00
_cell_angle_beta 90.00
_cell_angle_gamma 90.00
loop_
_space_group_symop_operation_xyz
'x,y,z'
'-x,-y,z'
'-x,y,z'
'x,-y,z'
'x+1/2,y+1/2,z+1/2'
'-x+1/2,-y+1/2,z+1/2'
'-x+1/2,y+1/2,z+1/2'
'x+1/2,-y+1/2,z+1/2'
loop_
_atom_site_label
_atom_site_fract_x
_atom_site_fract_y
_atom_site_fract_z
_atom_site_occupancy
Cr1 0.0000 0.0000 0.0000 1
Sb1 0.0000 0.5000 0.2977 1
As1 0.0000 0.0000 0.4720 1
As2 0.0000 0.5000 0.6477 1
```

# Li8CuHg2
Computed powder diffractogram, Cu Kα (weighted mean of Kα1 and Kα2). Input: a cell relaxed with PBE.
Intensities are scaled so that the largest is 100.

Largest 8 diffraction maxima, by intensity, 15° ≤ 2θ ≤ 90°:
(hkl)	2θ (°)	I (rel.)
1 1 0	24.05	100
0 1 3	24.34	85
1 0 3	27.18	62
1 2 3	40.63	62
2 1 3	46.01	32
1 1 2	27.35	30
1 3 0	49.28	30
0 2 0	29.62	29

Crystal structure
```
data_Li8CuHg2
_chemical_formula_sum 'Li16 Cu2 Hg4'
_space_group_name_H-M_alt 'I m m m'
_space_group_IT_number 71
_space_group_name_Hall '-I 2 2'
_cell_length_a 4.6858
_cell_length_b 6.0326
_cell_length_c 13.7906
_cell_angle_alpha 90.00
_cell_angle_beta 90.00
_cell_angle_gamma 90.00
loop_
_atom_site_label
_atom_site_fract_x
_atom_site_fract_y
_atom_site_fract_z
_atom_site_occupancy
Li1 0.0000 0.0000 0.1766 1
Li2 0.0000 0.2329 0.3611 1
Li3 0.0000 0.2590 0.0000 1
Cu1 0.0000 0.5000 0.5000 1
Hg1 0.0000 0.5000 0.1881 1
```

# AcSmNpN4
Computed powder diffractogram, Cu Kα (weighted mean of Kα1 and Kα2). Input: a cell relaxed with PBE.
Intensities are scaled so that the largest is 100.

Largest 8 diffraction maxima, by intensity, 15° ≤ 2θ ≤ 90°:
(hkl)	2θ (°)	I (rel.)
1 0 3	29.57	100
1 1 0	29.97	58
2 1 3	52.97	42
2 0 0	42.90	26
1 1 6	52.20	18
2 0 6	61.37	13
3 2 3	86.14	11
1 0 5	40.79	11

Crystal structure
```
data_AcSmNpN4
_chemical_formula_sum 'Ac2 Sm2 Np2 N8'
_space_group_name_H-M_alt 'I 4 m m'
_space_group_IT_number 107
_space_group_name_Hall 'I 4 -2'
_cell_length_a 4.2159
_cell_length_b 4.2159
_cell_length_c 12.9953
_cell_angle_alpha 90.00
_cell_angle_beta 90.00
_cell_angle_gamma 90.00
loop_
_atom_site_label
_atom_site_fract_x
_atom_site_fract_y
_atom_site_fract_z
_atom_site_occupancy
Ac1 0.0000 0.0000 0.0000 1
Sm1 0.0000 0.0000 0.7051 1
Np1 0.0000 0.0000 0.3481 1
N1 0.0000 0.0000 0.1851 1
N2 0.0000 0.0000 0.5229 1
N3 0.0000 0.5000 0.3409 1
```

# Tm4AsPb2
Computed powder diffractogram, Cu Kα (weighted mean of Kα1 and Kα2). Input: a cell relaxed with PBE.
Intensities are scaled so that the largest is 100.

Largest 8 diffraction maxima, by intensity, 15° ≤ 2θ ≤ 90°:
(hkl)	2θ (°)	I (rel.)
4 1 0	35.57	100
2 1 0	26.50	72
4 0 3	32.48	67
2 1 3	32.06	63
1 1 4	33.82	60
3 0 4	31.33	57
0 2 0	46.45	50
8 1 3	63.94	46

Crystal structure
```
data_Tm4AsPb2
_chemical_formula_sum 'Tm16 As4 Pb8'
_space_group_name_H-M_alt 'P n m a'
_space_group_IT_number 62
_cell_length_a 13.2192
_cell_length_b 3.9103
_cell_length_c 14.9907
_cell_angle_alpha 90.00
_cell_angle_beta 90.00
_cell_angle_gamma 90.00
loop_
_space_group_symop_operation_xyz
'x,y,z'
'-x,-y,-z'
'-x+1/2,-y,z+1/2'
'x+1/2,y,-z+1/2'
'x+1/2,-y+1/2,-z+1/2'
'-x+1/2,y+1/2,z+1/2'
'-x,y+1/2,-z'
'x,-y+1/2,z'
loop_
_atom_site_label
_atom_site_fract_x
_atom_site_fract_y
_atom_site_fract_z
_atom_site_occupancy
Tm1 0.0557 0.2500 0.2100 1
Tm2 0.0615 0.2500 0.6135 1
Tm3 0.1896 0.7500 0.0386 1
Tm4 0.2406 0.2500 0.7940 1
As1 0.2250 0.7500 0.6565 1
Pb1 0.0552 0.2500 0.9192 1
Pb2 0.1227 0.2500 0.4116 1
```

# CaAgAs
Computed powder diffractogram, Cu Kα (weighted mean of Kα1 and Kα2). Input: a cell relaxed with PBE.
Intensities are scaled so that the largest is 100.

Largest 8 diffraction maxima, by intensity, 15° ≤ 2θ ≤ 90°:
(hkl)	2θ (°)	I (rel.)
1 2 0	35.05	100
1 0 1	30.69	90
1 2 -1	37.28	80
2 2 0	49.04	71
0 0 1	18.98	66
2 0 -1	37.72	62
2 2 1	57.42	22
0 1 1	23.95	22

Crystal structure
```
data_CaAgAs
_chemical_formula_sum 'Ca2 Ag2 As2'
_space_group_name_H-M_alt 'P 1 21 1'
_space_group_IT_number 4
_cell_length_a 4.8788
_cell_length_b 6.1177
_cell_length_c 4.8908
_cell_angle_alpha 90.00
_cell_angle_beta 106.79
_cell_angle_gamma 90.00
loop_
_space_group_symop_operation_xyz
'x,y,z'
'-x,y+1/2,-z'
loop_
_atom_site_label
_atom_site_fract_x
_atom_site_fract_y
_atom_site_fract_z
_atom_site_occupancy
Ca1 0.1520 0.0000 0.3483 1
Ag1 0.4990 0.7500 0.9990 1
As1 0.2298 0.4999 0.2691 1
```

# Hf3GaW
Computed powder diffractogram, Cu Kα (weighted mean of Kα1 and Kα2). Input: a cell relaxed with PBE.
Intensities are scaled so that the largest is 100.

Largest 8 diffraction maxima, by intensity, 15° ≤ 2θ ≤ 90°:
(hkl)	2θ (°)	I (rel.)
2 0 0	35.53	100
1 0 0	17.55	74
2 2 0	51.13	72
1 1 1	30.65	57
2 1 0	39.89	38
4 2 0	86.05	33
2 2 2	63.81	25
3 1 1	60.80	24

Crystal structure
```
data_Hf3GaW
_chemical_formula_sum 'Hf3 Ga1 W1'
_space_group_name_H-M_alt 'P m -3 m'
_space_group_IT_number 221
_space_group_name_Hall '-P 4 2 3'
_cell_length_a 5.0529
_cell_length_b 5.0529
_cell_length_c 5.0529
_cell_angle_alpha 90.00
_cell_angle_beta 90.00
_cell_angle_gamma 90.00
loop_
_atom_site_label
_atom_site_fract_x
_atom_site_fract_y
_atom_site_fract_z
_atom_site_occupancy
Hf1 0.0000 0.0000 0.5000 1
Ga1 0.5000 0.5000 0.5000 1
W1 0.0000 0.0000 0.0000 1
```